Structure and theoretical X-ray diffraction stick pattern of K4Nd (a structure optimized by DFT (GGA-PBE); a wavelength of 1.5418 Å).
Neutral-atom scattering factors, no anomalous dispersion.

Top 10 peaks for 2θ = 15–90°, in order of rising 2θ:
2θ 17.10, 5.184 Å, I = 97; 2θ 24.28, 3.666 Å, I = 100; 2θ 27.20, 3.279 Å, I = 64; 2θ 29.85, 2.993 Å, I = 50; 2θ 34.61, 2.592 Å, I = 77; 2θ 36.78, 2.444 Å, I = 36; 2θ 42.73, 2.116 Å, I = 27; 2θ 46.34, 1.959 Å, I = 30; 2θ 56.10, 1.639 Å, I = 35; 2θ 62.02, 1.496 Å, I = 25

Structural model:
```
data_K4Nd
_chemical_formula_sum 'K4 Nd1'
_symmetry_space_group_name_H-M 'P 1'
_symmetry_Int_Tables_number 1
_cell_length_a 7.3312
_cell_length_b 7.3312
_cell_length_c 7.3312
_cell_angle_alpha 90.00
_cell_angle_beta 90.00
_cell_angle_gamma 90.00
loop_
_symmetry_equiv_pos_as_xyz
'x,y,z'
loop_
_atom_site_label
_atom_site_fract_x
_atom_site_fract_y
_atom_site_fract_z
K1 0.0000 0.0000 0.0000
K2 0.0000 0.5000 0.5000
K3 0.5000 0.0000 0.5000
K4 0.5000 0.5000 0.0000
Nd1 0.5000 0.5000 0.5000
```


Structure and theoretical X-ray diffraction stick pattern of CdMo3 (a structure optimized by DFT (GGA-PBE); a wavelength of 1.5418 Å).
Neutral-atom scattering factors, no anomalous dispersion.

Top 10 peaks for 2θ = 15–90°, in order of rising 2θ:
2θ 38.50, 2.338 Å, I = 25; 2θ 39.46, 2.284 Å, I = 100; 2θ 40.14, 2.246 Å, I = 24; 2θ 56.84, 1.620 Å, I = 15; 2θ 57.22, 1.610 Å, I = 8; 2θ 70.29, 1.339 Å, I = 14; 2θ 71.09, 1.326 Å, I = 8; 2θ 72.19, 1.309 Å, I = 8; 2θ 72.49, 1.304 Å, I = 16; 2θ 84.93, 1.142 Å, I = 10

Structural model:
```
data_CdMo3
_chemical_formula_sum 'Cd2 Mo6'
_symmetry_space_group_name_H-M 'P 1'
_symmetry_Int_Tables_number 1
_cell_length_a 3.2201
_cell_length_b 4.4925
_cell_length_c 9.3521
_cell_angle_alpha 90.00
_cell_angle_beta 90.00
_cell_angle_gamma 90.00
loop_
_symmetry_equiv_pos_as_xyz
'x,y,z'
loop_
_atom_site_label
_atom_site_fract_x
_atom_site_fract_y
_atom_site_fract_z
Cd1 0.0000 0.0000 0.0000
Cd2 0.5000 0.5000 0.0000
Mo1 0.0000 0.0000 0.5000
Mo2 0.0000 0.5000 0.2674
Mo3 0.0000 0.5000 0.7326
Mo4 0.5000 0.0000 0.2674
Mo5 0.5000 0.0000 0.7326
Mo6 0.5000 0.5000 0.5000
```


Structure and theoretical X-ray diffraction stick pattern of Be2CoRe (a structure optimized by DFT (GGA-PBE); a wavelength of 1.5418 Å).
Neutral-atom scattering factors, no anomalous dispersion.

Top 10 peaks for 2θ = 15–90°, in order of rising 2θ:
2θ 15.36, 5.770 Å, I = 100; 2θ 31.00, 2.885 Å, I = 13; 2θ 33.67, 2.662 Å, I = 17; 2θ 37.20, 2.417 Å, I = 74; 2θ 46.41, 1.956 Å, I = 57; 2θ 48.36, 1.882 Å, I = 27; 2θ 51.04, 1.789 Å, I = 20; 2θ 69.93, 1.345 Å, I = 15; 2θ 82.79, 1.166 Å, I = 15; 2θ 88.94, 1.100 Å, I = 18

Structural model:
```
data_Be2CoRe
_chemical_formula_sum 'Be2 Co1 Re1'
_symmetry_space_group_name_H-M 'P 1'
_symmetry_Int_Tables_number 1
_cell_length_a 2.6619
_cell_length_b 2.6619
_cell_length_c 5.7699
_cell_angle_alpha 90.00
_cell_angle_beta 90.00
_cell_angle_gamma 90.00
loop_
_symmetry_equiv_pos_as_xyz
'x,y,z'
loop_
_atom_site_label
_atom_site_fract_x
_atom_site_fract_y
_atom_site_fract_z
Be1 0.0000 0.0000 0.0000
Be2 0.5000 0.5000 0.1982
Co1 0.0000 0.0000 0.4135
Re1 0.5000 0.5000 0.7130
```


Structure and theoretical X-ray diffraction stick pattern of AlBiAu5 (a structure optimized by DFT (GGA-PBE); a wavelength of 1.5418 Å).
Neutral-atom scattering factors, no anomalous dispersion.

Top 10 peaks for 2θ = 15–90°, in order of rising 2θ:
2θ 21.89, 4.060 Å, I = 18; 2θ 30.00, 2.979 Å, I = 17; 2θ 37.45, 2.402 Å, I = 100; 2θ 41.20, 2.191 Å, I = 18; 2θ 44.64, 2.030 Å, I = 31; 2θ 62.35, 1.489 Å, I = 22; 2θ 64.96, 1.436 Å, I = 10; 2θ 72.61, 1.302 Å, I = 13; 2θ 77.46, 1.232 Å, I = 25; 2θ 79.88, 1.201 Å, I = 11

Structural model:
```
data_AlBiAu5
_chemical_formula_sum 'Al1 Bi1 Au5'
_symmetry_space_group_name_H-M 'P 1'
_symmetry_Int_Tables_number 1
_cell_length_a 4.0603
_cell_length_b 4.0603
_cell_length_c 8.7654
_cell_angle_alpha 90.00
_cell_angle_beta 90.00
_cell_angle_gamma 90.00
loop_
_symmetry_equiv_pos_as_xyz
'x,y,z'
loop_
_atom_site_label
_atom_site_fract_x
_atom_site_fract_y
_atom_site_fract_z
Al1 0.0000 0.0000 0.0000
Bi1 0.5000 0.5000 0.5000
Au1 0.0000 0.5000 0.2357
Au2 0.0000 0.5000 0.7643
Au3 0.5000 0.0000 0.2357
Au4 0.5000 0.0000 0.7643
Au5 0.5000 0.5000 0.0000
```


Structure and theoretical X-ray diffraction stick pattern of K2TmTlBr6 (a structure optimized by DFT (GGA-PBE); a wavelength of 1.5418 Å).
Neutral-atom scattering factors, no anomalous dispersion.

Top 10 peaks for 2θ = 15–90°, in order of rising 2θ:
2θ 15.23, 5.816 Å, I = 100; 2θ 21.20, 4.190 Å, I = 35; 2θ 22.00, 4.039 Å, I = 16; 2θ 25.48, 3.496 Å, I = 57; 2θ 30.74, 2.908 Å, I = 41; 2θ 33.96, 2.640 Å, I = 65; 2θ 35.00, 2.564 Å, I = 18; 2θ 38.13, 2.360 Å, I = 29; 2θ 38.61, 2.332 Å, I = 37; 2θ 47.66, 1.908 Å, I = 17

Structural model:
```
data_K2TmTlBr6
_chemical_formula_sum 'K2 Tm1 Tl1 Br6'
_symmetry_space_group_name_H-M 'P 1'
_symmetry_Int_Tables_number 1
_cell_length_a 8.0751
_cell_length_b 8.0801
_cell_length_c 8.3902
_cell_angle_alpha 90.03
_cell_angle_beta 118.75
_cell_angle_gamma 119.97
loop_
_symmetry_equiv_pos_as_xyz
'x,y,z'
loop_
_atom_site_label
_atom_site_fract_x
_atom_site_fract_y
_atom_site_fract_z
K1 0.0000 0.0000 0.0000
K2 0.0230 0.5120 0.5348
Tm1 0.4141 0.2071 0.6215
Tl1 0.4343 0.7170 0.1520
Br1 0.2718 0.4091 0.3754
Br2 0.2933 0.3209 0.8377
Br3 0.5128 0.1035 0.3755
Br4 0.5167 0.9731 0.8379
Br5 0.8645 0.5439 0.8378
Br6 0.9662 0.8631 0.3754
```


Structure and theoretical X-ray diffraction stick pattern of Ac2La8Er3 (a structure optimized by DFT (GGA-PBE); a wavelength of 1.5418 Å).
Neutral-atom scattering factors, no anomalous dispersion.

Top 10 peaks for 2θ = 15–90°, in order of rising 2θ:
2θ 28.39, 3.144 Å, I = 20; 2θ 28.68, 3.113 Å, I = 38; 2θ 29.69, 3.009 Å, I = 87; 2θ 30.19, 2.960 Å, I = 100; 2θ 31.52, 2.839 Å, I = 28; 2θ 36.59, 2.456 Å, I = 20; 2θ 38.10, 2.362 Å, I = 15; 2θ 41.53, 2.174 Å, I = 14; 2θ 52.98, 1.728 Å, I = 20; 2θ 61.63, 1.505 Å, I = 14

Structural model:
```
data_Ac2La8Er3
_chemical_formula_sum 'Ac2 La8 Er3'
_symmetry_space_group_name_H-M 'P 1'
_symmetry_Int_Tables_number 1
_cell_length_a 9.1552
_cell_length_b 9.1552
_cell_length_c 6.3042
_cell_angle_alpha 107.08
_cell_angle_beta 107.08
_cell_angle_gamma 82.25
loop_
_symmetry_equiv_pos_as_xyz
'x,y,z'
loop_
_atom_site_label
_atom_site_fract_x
_atom_site_fract_y
_atom_site_fract_z
Ac1 0.1909 0.1909 0.3241
Ac2 0.8091 0.8091 0.6759
La1 0.0802 0.0802 0.7405
La2 0.0991 0.5887 0.3499
La3 0.3633 0.3633 0.8973
La4 0.4113 0.9009 0.6501
La5 0.5887 0.0991 0.3499
La6 0.6367 0.6367 0.1027
La7 0.9009 0.4113 0.6501
La8 0.9198 0.9198 0.2595
Er1 0.2373 0.7627 0.0000
Er2 0.5000 0.5000 0.5000
Er3 0.7627 0.2373 0.0000
```


Structure and theoretical X-ray diffraction stick pattern of Pm2Sm6Dy (a structure optimized by DFT (GGA-PBE); a wavelength of 1.5418 Å).
Neutral-atom scattering factors, no anomalous dispersion.

Top 10 peaks for 2θ = 15–90°, in order of rising 2θ:
2θ 31.06, 2.879 Å, I = 91; 2θ 31.29, 2.859 Å, I = 100; 2θ 40.56, 2.224 Å, I = 11; 2θ 44.67, 2.029 Å, I = 34; 2θ 51.65, 1.770 Å, I = 8; 2θ 55.46, 1.657 Å, I = 12; 2θ 55.61, 1.653 Å, I = 37; 2θ 61.64, 1.505 Å, I = 29; 2θ 65.35, 1.428 Å, I = 8; 2θ 79.34, 1.208 Å, I = 9

Structural model:
```
data_Pm2Sm6Dy
_chemical_formula_sum 'Pm2 Sm6 Dy1'
_symmetry_space_group_name_H-M 'P 1'
_symmetry_Int_Tables_number 1
_cell_length_a 9.9127
_cell_length_b 9.9127
_cell_length_c 3.5395
_cell_angle_alpha 90.00
_cell_angle_beta 90.00
_cell_angle_gamma 120.20
loop_
_symmetry_equiv_pos_as_xyz
'x,y,z'
loop_
_atom_site_label
_atom_site_fract_x
_atom_site_fract_y
_atom_site_fract_z
Pm1 0.1668 0.8332 0.0000
Pm2 0.8332 0.1668 0.0000
Sm1 0.1684 0.1684 0.5000
Sm2 0.1680 0.4995 0.5000
Sm3 0.4995 0.1680 0.5000
Sm4 0.5005 0.8320 0.5000
Sm5 0.8320 0.5005 0.5000
Sm6 0.8316 0.8316 0.5000
Dy1 0.5000 0.5000 0.0000
```